The following is a theoretical powder XRD pattern of TaSe2. It was derived from DFT lattice parameters and positions (PBE), using Cu Kα X-rays.
Neutral-atom scattering factors, no anomalous dispersion.

Principal peaks in the range 10° ≤ 2θ ≤ 90°, in order of falling intensity:
- 36.02°, d 2.493, I 100
- 41.24°, d 2.189, I 90
- 30.04°, d 2.975, I 67
- 32.14°, d 2.785, I 59
- 38.46°, d 2.341, I 53
- 52.96°, d 1.729, I 52
- 15.83°, d 5.600, I 48
- 33.86°, d 2.648, I 39

Crystal structure
```
6
Lattice="3.464 0.000 0.000 0.000 11.200 3.005 0.000 -11.200 3.005" Properties=species:S:1:pos:R:3 pbc="T T T"
Ta 0.000 0.000 0.000
Ta 1.732 0.000 2.947
Se 0.000 -1.692 1.979
Se 0.000 1.692 1.979
Se 1.732 -1.661 4.974
Se 1.732 1.661 4.974
```